# Ru2PbAu
Theoretical powder diffractogram, Cu Kα X-rays. Input: a structure optimized by DFT (GGA-PBE).

Lattice parameters (Å, degrees): 9.461 3.065 4.894 90.00 100.46 90.00
Space group Cm (No. 8)
Asymmetric unit:
Ru: 0.000 0.000 0.000 x2
Ru: 0.230 0.500 0.210 x2
Pb: 0.484 0.000 0.478 x2
Au: 0.247 0.000 0.749 x2

Most intense lines, 2θ = 10–90°, by angle:
| hkl | Position (°2θ) | I/Imax |
| --- | --- | --- |
| 1 1 1 | 36.98 | 100 |
| 4 0 0 | 38.71 | 43 |
| 2 0 -2 | 38.89 | 44 |
| 3 1 -1 | 43.32 | 65 |
| 2 0 2 | 45.47 | 26 |
| 0 2 0 | 60.40 | 12 |
| 5 1 1 | 64.49 | 18 |
| 1 1 -3 | 64.73 | 19 |
| 4 2 0 | 74.08 | 13 |
| 2 2 -2 | 74.20 | 13 |